La5FeGe3: calculated XRD peak list (Cu Kα), based on a cell relaxed with PBE.

The 10 most intense peaks (10 to 80 degrees two-theta), sorted by position:
| 2θ/deg | I (rel.) | (hkl) |
| --- | --- | --- |
| 27.62 | 15 | 1 0 2 |
| 30.09 | 23 | 2 1 0 |
| 32.06 | 100 | 1 1 2 |
| 32.69 | 93 | 2 1 1 |
| 34.23 | 40 | 3 0 0 |
| 47.60 | 24 | 2 2 2 |
| 49.30 | 29 | 2 1 3 |
| 51.61 | 13 | 0 0 4 |
| 53.32 | 16 | 4 0 2 |
| 53.43 | 17 | 4 1 0 |

```
La5FeGe3
1.0
9.074 0.000 0.000
-4.537 7.859 0.000
0.000 0.000 7.084
La Fe Ge
10 2 6
direct
0.000 0.242 0.250 La
0.000 0.758 0.750 La
0.242 0.000 0.250 La
0.242 0.242 0.750 La
0.333 0.667 0.000 La
0.333 0.667 0.500 La
0.667 0.333 0.000 La
0.667 0.333 0.500 La
0.758 0.000 0.750 La
0.758 0.758 0.250 La
0.000 0.000 0.000 Fe
0.000 0.000 0.500 Fe
0.000 0.405 0.750 Ge
0.000 0.595 0.250 Ge
0.405 0.000 0.750 Ge
0.405 0.405 0.250 Ge
0.595 0.000 0.250 Ge
0.595 0.595 0.750 Ge
```